Computed powder X-ray diffraction pattern of Pu3PaN6 for Cu Kα (λ = 1.5418 Å), from the PBE geometry in Alexandria.
Lines closer than 0.1° are merged.

The 10 most intense peaks (2θ from 10° to 90°), sorted by position:
2θ = 23.18°, intensity 306
2θ = 26.33°, intensity 409
2θ = 29.28°, intensity 1000
2θ = 29.73°, intensity 550
2θ = 32.09°, intensity 239
2θ = 32.29°, intensity 906
2θ = 32.91°, intensity 235
2θ = 42.46°, intensity 235
2θ = 49.94°, intensity 330
2θ = 51.23°, intensity 272

Atomic structure:
Lattice parameters (Å, degrees): 6.771 6.771 6.771 91.05 91.05 91.05
Fractional positions:
Pu 0.052 0.750 0.557
Pu 0.250 0.443 0.948
Pu 0.443 0.948 0.250
Pu 0.557 0.052 0.750
Pu 0.750 0.557 0.052
Pu 0.948 0.250 0.443
Pa 0.000 0.000 0.000
Pa 0.500 0.500 0.500
N 0.027 0.681 0.898
N 0.102 0.973 0.319
N 0.183 0.445 0.597
N 0.319 0.102 0.973
N 0.403 0.817 0.555
N 0.445 0.597 0.183
N 0.555 0.403 0.817
N 0.597 0.183 0.445
N 0.681 0.898 0.027
N 0.817 0.555 0.403
N 0.898 0.027 0.681
N 0.973 0.319 0.102